Record 1
For Ho5Ga4Au, DFT lattice parameters and positions (PBE) gives the simulated powder XRD pattern in this record (Cu Kα, 1.54184 Å).
Intensities are scaled so that the largest is 1000.

Cell and atoms:
Cell lengths 3.558, 3.558, 17.893 Å; angles 90.00, 90.00, 90.00 degrees
Element x y z (fractional)
Ho1 0.000 0.000 0.000
Ho2 0.000 0.000 0.199
Ho3 0.000 0.000 0.399
Ho4 0.000 0.000 0.601
Ho5 0.000 0.000 0.801
Ga1 0.500 0.500 0.098
Ga2 0.500 0.500 0.298
Ga3 0.500 0.500 0.702
Ga4 0.500 0.500 0.902
Au1 0.500 0.500 0.500

Most intense lines, 15 to 90 degrees two-theta, in order of rising 2θ:
2θ 25.03, intensity 75
2θ 35.58, intensity 1000
2θ 35.69, intensity 496
2θ 51.04, intensity 89
2θ 51.37, intensity 176
2θ 63.84, intensity 183
2θ 64.05, intensity 361
2θ 75.34, intensity 112
2θ 85.94, intensity 81
2θ 86.48, intensity 161

=====

Record 2
For Ho7Ga2Au2, DFT lattice parameters and positions (PBE) gives the simulated powder XRD pattern in this record (Cu Kα, 1.54184 Å).
Intensities are scaled so that the largest is 1000.

Cell and atoms:
Cell lengths 6.683, 6.683, 7.232 Å; angles 90.00, 90.00, 108.79 degrees
Element x y z (fractional)
Ho1 0.000 0.000 0.000
Ho2 0.000 0.500 0.275
Ho3 0.000 0.500 0.725
Ho4 0.500 0.000 0.275
Ho5 0.500 0.000 0.725
Ho6 0.500 0.500 0.263
Ho7 0.500 0.500 0.737
Ga1 0.168 0.168 0.500
Ga2 0.832 0.832 0.500
Au1 0.292 0.708 0.000
Au2 0.708 0.292 0.000

Most intense lines, 15 to 90 degrees two-theta, in order of rising 2θ:
2θ 26.01, intensity 449
2θ 28.21, intensity 382
2θ 28.43, intensity 294
2θ 29.88, intensity 202
2θ 32.97, intensity 533
2θ 33.84, intensity 278
2θ 36.98, intensity 506
2θ 37.78, intensity 1000
2θ 46.70, intensity 233
2θ 50.48, intensity 175

=====

Record 3
For HoGaAu2, DFT lattice parameters and positions (PBE) gives the simulated powder XRD pattern in this record (Cu Kα, 1.54184 Å).
Intensities are scaled so that the largest is 1000.

Cell and atoms:
Cell lengths 8.009, 7.234, 5.529 Å; angles 90.00, 90.00, 90.00 degrees
Element x y z (fractional)
Ho1 0.052 0.250 0.146
Ho2 0.448 0.750 0.646
Ho3 0.552 0.250 0.354
Ho4 0.948 0.750 0.854
Ga1 0.103 0.750 0.355
Ga2 0.397 0.250 0.855
Ga3 0.603 0.750 0.145
Ga4 0.897 0.250 0.645
Au1 0.185 0.045 0.614
Au2 0.185 0.455 0.614
Au3 0.315 0.545 0.114
Au4 0.315 0.955 0.114
Au5 0.685 0.045 0.886
Au6 0.685 0.455 0.886
Au7 0.815 0.545 0.386
Au8 0.815 0.955 0.386

Most intense lines, 15 to 90 degrees two-theta, in order of rising 2θ:
2θ 30.20, intensity 337
2θ 31.60, intensity 410
2θ 33.38, intensity 1000
2θ 34.31, intensity 885
2θ 36.56, intensity 686
2θ 37.24, intensity 920
2θ 37.40, intensity 652
2θ 42.43, intensity 514
2θ 42.68, intensity 637
2θ 48.34, intensity 433